For Zn2GaNiO4, a DFT-relaxed cell (GGA+U, Alexandria) gives the simulated powder diffractogram in this record (Cu Kα, 1.54184 Å).
No peak broadening, texture or thermal motion is included.

Most intense lines, 2θ from 5° to 70°, by angle:
two_theta, intensity
21.31, 2
33.44, 98
33.81, 100
38.02, 40
40.98, 16
53.09, 1
54.35, 16
55.36, 15
57.13, 54
65.56, 26
66.24, 24
69.86, 11

Atomic structure:
```
Zn2GaNiO4
1.0
0.0000 3.3761 4.4045
3.3194 0.0000 4.4045
3.3194 3.3761 0.0000
Zn Ga Ni O
2 1 1 4
direct
0.0000 0.0000 0.5000
0.5000 0.5000 0.0000
0.2526 0.2526 0.7474
0.7384 0.7384 0.2616
0.1426 0.6074 0.8574
0.3562 0.9025 0.0975
0.6074 0.1426 0.3926
0.9025 0.3562 0.6438
```